1.
This entry pairs a crystal structure of CsYTlO3 with its computed powder X-ray diffraction pattern. Radiation: CuKα. Structure: a cell relaxed with GGA-PBE.

Peak list (10 most intense, 10 to 80 degrees two-theta, sorted by position)
- (1 0 0), d 7.004, 2θ = 12.64°, I 100.0
- (1 0 1), d 5.085, 2θ = 17.44°, I 33.7
- (1 0 2), d 3.651, 2θ = 24.38°, I 44.8
- (2 0 0), d 3.500, 2θ = 25.45°, I 98.0
- (1 1 -1), d 3.177, 2θ = 28.09°, I 43.9
- (0 1 2), d 2.946, 2θ = 30.34°, I 55.3
- (1 1 -2), d 2.918, 2θ = 30.64°, I 66.5
- (1 0 -4), d 2.765, 2θ = 32.38°, I 41.8
- (2 1 -2), d 2.496, 2θ = 35.99°, I 68.1
- (0 1 3), d 2.492, 2θ = 36.03°, I 29.3

Atomic structure:
```
data_CsYTlO3
_cell_length_a 7.422
_cell_length_b 3.568
_cell_length_c 11.071
_cell_angle_alpha 90.00
_cell_angle_beta 109.27
_cell_angle_gamma 90.00
_space_group_name_H-M_alt 'P 1 21/m 1'
_space_group_IT_number 11
_space_group_name_Hall '-P 2yb'
loop_
_atom_site_label
_atom_site_type_symbol
_atom_site_fract_x
_atom_site_fract_y
_atom_site_fract_z
Cs1 Cs 0.004 0.250 0.230
Y1 Y 0.478 0.250 0.126
Tl1 Tl 0.447 0.250 0.601
O1 O 0.307 0.750 0.654
O2 O 0.333 0.750 0.199
O3 O 0.351 0.250 0.915
```

---

2.
This entry pairs a crystal structure of TlHg4N2 with its computed powder X-ray diffraction pattern. Radiation: CuKα. Structure: a cell relaxed with GGA-PBE.

Peak list (10 most intense, 10 to 80 degrees two-theta, sorted by position)
- (0 0 2), d 8.645, 2θ = 10.23°, I 34.9
- (0 1 3), d 3.060, 2θ = 29.18°, I 59.8
- (1 0 3), d 2.981, 2θ = 29.97°, I 35.3
- (1 0 -4), d 2.791, 2θ = 32.07°, I 59.3
- (0 1 4), d 2.771, 2θ = 32.30°, I 100.0
- (1 0 4), d 2.702, 2θ = 33.16°, I 44.2
- (1 1 0), d 2.533, 2θ = 35.44°, I 80.4
- (1 1 -1), d 2.515, 2θ = 35.69°, I 35.7
- (0 0 7), d 2.470, 2θ = 36.37°, I 24.0
- (0 0 8), d 2.161, 2θ = 41.79°, I 23.1

Atomic structure:
```
data_TlHg4N2
_cell_length_a 3.556
_cell_length_b 3.611
_cell_length_c 17.300
_cell_angle_alpha 90.00
_cell_angle_beta 91.89
_cell_angle_gamma 90.00
_space_group_name_H-M_alt 'P 1 2/m 1'
_space_group_IT_number 10
_space_group_name_Hall '-P 2y'
loop_
_atom_site_label
_atom_site_type_symbol
_atom_site_fract_x
_atom_site_fract_y
_atom_site_fract_z
Tl1 Tl 0.000 0.000 0.000
Hg1 Hg 0.040 0.000 0.262
Hg2 Hg 0.479 0.500 0.865
N1 N 0.072 0.500 0.529
```

---

3.
This entry pairs a crystal structure of YAlZnPd2 with its computed powder X-ray diffraction pattern. Radiation: CuKα. Structure: a cell relaxed with GGA-PBE.

Peak list (10 most intense, 10 to 80 degrees two-theta, sorted by position)
- (1 1 1), d 3.648, 2θ = 24.40°, I 26.0
- (1 3 1), d 2.871, 2θ = 31.15°, I 77.9
- (2 0 0), d 2.655, 2θ = 33.75°, I 65.9
- (0 2 2), d 2.510, 2θ = 35.78°, I 47.0
- (1 1 2), d 2.377, 2θ = 37.84°, I 26.5
- (1 5 1), d 2.164, 2θ = 41.74°, I 100.0
- (2 4 1), d 1.932, 2θ = 47.05°, I 24.6
- (2 0 2), d 1.898, 2θ = 47.92°, I 17.9
- (2 2 2), d 1.824, 2θ = 50.01°, I 20.6
- (3 5 1), d 1.418, 2θ = 65.86°, I 25.0

Atomic structure:
```
data_YAlZnPd2
_cell_length_a 5.311
_cell_length_b 13.167
_cell_length_c 5.429
_cell_angle_alpha 90.00
_cell_angle_beta 90.00
_cell_angle_gamma 90.00
_space_group_name_H-M_alt 'C m m e'
_space_group_IT_number 67
_space_group_name_Hall '-C 2a 2'
loop_
_atom_site_label
_atom_site_type_symbol
_atom_site_fract_x
_atom_site_fract_y
_atom_site_fract_z
Y1 Y 0.000 0.250 0.225
Al1 Al 0.250 0.000 0.500
Zn1 Zn 0.000 0.000 0.000
Pd1 Pd 0.000 0.145 0.699
```

---

4.
This entry pairs a crystal structure of CsBa2US5 with its computed powder X-ray diffraction pattern. Radiation: CuKα. Structure: a cell relaxed with GGA-PBE.

Peak list (10 most intense, 10 to 80 degrees two-theta, sorted by position)
- (0 1 1), d 6.922, 2θ = 12.79°, I 28.1
- (0 2 0), d 3.919, 2θ = 22.69°, I 24.6
- (1 1 2), d 3.737, 2θ = 23.81°, I 100.0
- (0 0 4), d 3.688, 2θ = 24.13°, I 13.5
- (0 2 4), d 2.686, 2θ = 33.36°, I 31.5
- (1 2 3), d 2.641, 2θ = 33.95°, I 14.2
- (2 0 0), d 2.601, 2θ = 34.49°, I 19.4
- (1 3 2), d 2.226, 2θ = 40.53°, I 25.8
- (0 4 0), d 1.958, 2θ = 46.37°, I 12.1
- (2 2 4), d 1.868, 2θ = 48.74°, I 21.0

Atomic structure:
```
data_CsBa2US5
_cell_length_a 5.201
_cell_length_b 7.838
_cell_length_c 14.753
_cell_angle_alpha 90.00
_cell_angle_beta 90.00
_cell_angle_gamma 90.00
_space_group_name_H-M_alt 'I m m m'
_space_group_IT_number 71
_space_group_name_Hall '-I 2 2'
loop_
_atom_site_label
_atom_site_type_symbol
_atom_site_fract_x
_atom_site_fract_y
_atom_site_fract_z
Cs1 Cs 0.000 0.000 0.000
Ba1 Ba 0.000 0.500 0.214
U1 U 0.000 0.000 0.500
S1 S 0.000 0.225 0.368
S2 S 0.000 0.500 0.000
```

---

5.
This entry pairs a crystal structure of BeI with its computed powder X-ray diffraction pattern. Radiation: CuKα. Structure: a cell relaxed with GGA-PBE.

Peak list (10 most intense, 10 to 80 degrees two-theta, sorted by position)
- (0 0 2), d 4.600, 2θ = 19.30°, I 100.0
- (1 -1 0), d 3.346, 2θ = 26.64°, I 42.0
- (0 1 0), d 3.310, 2θ = 26.94°, I 51.1
- (1 0 0), d 3.282, 2θ = 27.17°, I 33.1
- (1 0 1), d 2.921, 2θ = 30.61°, I 18.1
- (0 1 -2), d 2.901, 2θ = 30.82°, I 20.0
- (-1 1 2), d 2.769, 2θ = 32.33°, I 26.7
- (1 -1 2), d 2.647, 2θ = 33.87°, I 23.8
- (1 1 -1), d 1.933, 2θ = 47.01°, I 19.1
- (2 0 -1), d 1.674, 2θ = 54.83°, I 15.9

Atomic structure:
```
data_BeI
_cell_length_a 3.869
_cell_length_b 3.869
_cell_length_c 9.394
_cell_angle_alpha 93.33
_cell_angle_beta 97.98
_cell_angle_gamma 119.99
_space_group_name_H-M_alt 'P 1'
_space_group_IT_number 1
_space_group_name_Hall 'P 1'
loop_
_atom_site_label
_atom_site_type_symbol
_atom_site_fract_x
_atom_site_fract_y
_atom_site_fract_z
Be1 Be 0.000 0.000 0.000
Be2 Be 0.121 0.091 0.225
I1 I 0.259 0.610 0.865
I2 I 0.528 0.814 0.360
```

---

6.
This entry pairs a crystal structure of Ge4Pt2S with its computed powder X-ray diffraction pattern. Radiation: CuKα. Structure: a cell relaxed with GGA-PBE.

Peak list (10 most intense, 10 to 80 degrees two-theta, sorted by position)
- (2 0 0), d 3.841, 2θ = 23.15°, I 37.9
- (2 0 -2), d 3.804, 2θ = 23.39°, I 44.9
- (0 2 1), d 3.587, 2θ = 24.82°, I 41.2
- (2 2 -1), d 3.066, 2θ = 29.12°, I 100.0
- (2 2 -2), d 2.807, 2θ = 31.88°, I 35.4
- (1 1 2), d 2.580, 2θ = 34.77°, I 29.4
- (1 1 -3), d 2.566, 2θ = 34.97°, I 31.9
- (4 2 -1), d 1.922, 2θ = 47.29°, I 37.7
- (4 2 -3), d 1.913, 2θ = 47.52°, I 26.8
- (2 4 -2), d 1.824, 2θ = 49.99°, I 23.3

Atomic structure:
```
data_Ge4Pt2S
_cell_length_a 9.079
_cell_length_b 8.317
_cell_length_c 8.375
_cell_angle_alpha 90.00
_cell_angle_beta 122.20
_cell_angle_gamma 90.00
_space_group_name_H-M_alt 'C 1 2 1'
_space_group_IT_number 5
_space_group_name_Hall 'C 2y'
loop_
_atom_site_label
_atom_site_type_symbol
_atom_site_fract_x
_atom_site_fract_y
_atom_site_fract_z
Ge1 Ge 0.011 0.000 0.237
Ge2 Ge 0.059 0.440 0.887
Ge3 Ge 0.167 0.210 0.600
Ge4 Ge 0.190 0.797 0.731
Pt1 Pt 0.204 0.459 0.446
Pt2 Pt 0.238 0.191 0.936
S1 S 0.000 0.600 0.500
S2 S 0.000 0.830 0.000
```